1.
Diffraction record for PrTiO3. The X-ray powder pattern is simulated, not measured: it uses a GGA-PBE-relaxed structure and Cu Kα (λ = 1.5418 Å).

Principal peaks in the range 2θ = 10–80°, most intense first:
two_theta  I_rel
32.4  100.0
31.5  97.9
45.8  58.6
22.4  50.4
56.7  42.2
39.0  31.8
56.1  26.1
58.2  18.4
76.6  17.1
67.7  16.8
75.3  15.8
65.8  15.4

Atomic structure:
```
data_PrTiO3
_cell_length_a 5.6759
_cell_length_b 5.6759
_cell_length_c 13.3893
_cell_angle_alpha 90.00
_cell_angle_beta 90.00
_cell_angle_gamma 120.00
_symmetry_space_group_name_H-M 'R -3 c'
_symmetry_Int_Tables_number 167
_symmetry_space_group_name_Hall '-R 3 2"c'
loop_
_atom_site_label
_atom_site_fract_x
_atom_site_fract_y
_atom_site_fract_z
Pr1 0.0000 0.0000 0.2500
Ti1 0.0000 0.0000 0.0000
O1 0.0000 0.4208 0.2500
```

---

2.
Diffraction record for MgTe2Mo2W2Se4S2. The X-ray powder pattern is simulated, not measured: it uses a GGA-PBE-relaxed structure and Cu Kα (λ = 1.5418 Å).

Principal peaks in the range 2θ = 10–80°, most intense first:
two_theta  I_rel
40.4  100.0
34.8  75.3
11.6  67.3
30.9  50.5
55.0  37.8
32.5  30.2
37.9  23.5
41.8  23.1
56.0  21.6
70.4  19.1
36.8  18.7
49.3  16.8

Atomic structure:
```
data_MgTe2Mo2W2Se4S2
_cell_length_a 3.3412
_cell_length_b 3.3412
_cell_length_c 45.5840
_cell_angle_alpha 90.00
_cell_angle_beta 90.00
_cell_angle_gamma 120.00
_symmetry_space_group_name_H-M 'P 3 m 1'
_symmetry_Int_Tables_number 156
loop_
_symmetry_equiv_pos_as_xyz
'x,y,z'
'-y,x-y,z'
'-x+y,-x,z'
'-y,-x,z'
'-x+y,y,z'
'x,x-y,z'
loop_
_atom_site_label
_atom_site_fract_x
_atom_site_fract_y
_atom_site_fract_z
Mg1 0.0000 0.0000 0.0000
Te1 0.6667 0.3333 0.8478
Te2 0.6667 0.3333 0.9313
Mo1 0.3333 0.6667 0.8893
Mo2 0.6667 0.3333 0.0916
W1 0.3333 0.6667 0.2718
W2 0.6667 0.3333 0.4598
Se1 0.3333 0.6667 0.4230
Se2 0.3333 0.6667 0.4965
Se3 0.6667 0.3333 0.2351
Se4 0.6667 0.3333 0.3085
S1 0.3333 0.6667 0.0578
S2 0.3333 0.6667 0.1247
```

---

3.
Diffraction record for ZrN2. The X-ray powder pattern is simulated, not measured: it uses a GGA-PBE-relaxed structure and Cu Kα (λ = 1.5418 Å).

Principal peaks in the range 2θ = 10–80°, most intense first:
two_theta  I_rel
36.8  100.0
20.3  86.7
30.4  60.3
52.1  44.2
58.3  27.1
54.0  24.5
67.1  16.1
72.4  14.5
78.3  12.3
70.2  9.0
63.2  7.7
41.3  6.5

Atomic structure:
```
data_ZrN2
_cell_length_a 3.3988
_cell_length_b 3.3988
_cell_length_c 4.3707
_cell_angle_alpha 90.00
_cell_angle_beta 90.00
_cell_angle_gamma 120.00
_symmetry_space_group_name_H-M 'P -3 m 1'
_symmetry_Int_Tables_number 164
_symmetry_space_group_name_Hall '-P 3 2"'
loop_
_atom_site_label
_atom_site_fract_x
_atom_site_fract_y
_atom_site_fract_z
Zr1 0.0000 0.0000 0.0000
N1 0.3333 0.6667 0.2231
```

---

4.
Diffraction record for Na2PtC2. The X-ray powder pattern is simulated, not measured: it uses a GGA-PBE-relaxed structure and Cu Kα (λ = 1.5418 Å).

Principal peaks in the range 2θ = 10–80°, most intense first:
two_theta  I_rel
28.3  100.0
22.5  96.3
41.4  50.9
17.0  46.3
39.6  42.0
43.3  28.5
49.4  23.0
65.0  20.6
73.0  19.1
58.6  18.4
57.9  16.2
46.0  14.1

Atomic structure:
```
data_Na2PtC2
_cell_length_a 4.5570
_cell_length_b 4.5570
_cell_length_c 5.2259
_cell_angle_alpha 90.00
_cell_angle_beta 90.00
_cell_angle_gamma 120.00
_symmetry_space_group_name_H-M 'P -3 m 1'
_symmetry_Int_Tables_number 164
_symmetry_space_group_name_Hall '-P 3 2"'
loop_
_atom_site_label
_atom_site_fract_x
_atom_site_fract_y
_atom_site_fract_z
Na1 0.3333 0.6667 0.2298
Pt1 0.0000 0.0000 0.5000
C1 0.0000 0.0000 0.1218
```

---

5.
Diffraction record for TiVB4. The X-ray powder pattern is simulated, not measured: it uses a GGA-PBE-relaxed structure and Cu Kα (λ = 1.5418 Å).

Principal peaks in the range 2θ = 10–80°, most intense first:
two_theta  I_rel
45.3  100.0
34.4  60.8
61.5  22.8
28.6  20.3
79.6  16.1
70.2  13.0
69.2  9.4
59.2  8.6
72.4  5.9
14.2  0.5

Atomic structure:
```
data_TiVB4
_cell_length_a 3.0137
_cell_length_b 3.0137
_cell_length_c 6.2470
_cell_angle_alpha 90.00
_cell_angle_beta 90.00
_cell_angle_gamma 120.00
_symmetry_space_group_name_H-M 'P 6/m m m'
_symmetry_Int_Tables_number 191
_symmetry_space_group_name_Hall '-P 6 2'
loop_
_atom_site_label
_atom_site_fract_x
_atom_site_fract_y
_atom_site_fract_z
Ti1 0.0000 0.0000 0.0000
V1 0.0000 0.0000 0.5000
B1 0.3333 0.6667 0.2565
```

---

6.
Diffraction record for CeGa3Pd. The X-ray powder pattern is simulated, not measured: it uses a GGA-PBE-relaxed structure and Cu Kα (λ = 1.5418 Å).

Principal peaks in the range 2θ = 10–80°, most intense first:
two_theta  I_rel
33.9  100.0
32.8  67.5
41.9  63.1
54.2  31.9
47.8  27.9
71.4  23.4
29.3  23.2
65.4  21.4
60.8  20.5
45.3  19.9
60.6  13.4
79.0  7.2

Atomic structure:
```
data_CeGa3Pd
_cell_length_a 4.311
_cell_length_b 4.311
_cell_length_c 10.601
_cell_angle_alpha 90.00
_cell_angle_beta 90.00
_cell_angle_gamma 90.00
_symmetry_space_group_name_H-M 'I 4 m m'
_symmetry_Int_Tables_number 107
_symmetry_space_group_name_Hall 'I 4 -2'
loop_
_atom_site_label
_atom_site_fract_x
_atom_site_fract_y
_atom_site_fract_z
Ce1 0.000 0.000 0.000
Ga1 0.000 0.000 0.587
Ga2 0.000 0.500 0.237
Pd1 0.000 0.000 0.357
```

---

7.
Diffraction record for Li2AlSi. The X-ray powder pattern is simulated, not measured: it uses a GGA-PBE-relaxed structure and Cu Kα (λ = 1.5418 Å).

Principal peaks in the range 2θ = 10–80°, most intense first:
two_theta  I_rel
21.8  100.0
41.9  84.4
26.2  65.2
47.7  64.0
41.0  46.2
62.7  31.7
32.5  20.1
44.4  15.0
60.1  14.7
75.9  14.7
76.5  14.0
50.1  9.5

Atomic structure:
```
data_Li2AlSi
_cell_length_a 4.3140
_cell_length_b 4.3140
_cell_length_c 8.1599
_cell_angle_alpha 90.00
_cell_angle_beta 90.00
_cell_angle_gamma 120.00
_symmetry_space_group_name_H-M 'P 63/m m c'
_symmetry_Int_Tables_number 194
_symmetry_space_group_name_Hall '-P 6c 2c'
loop_
_atom_site_label
_atom_site_fract_x
_atom_site_fract_y
_atom_site_fract_z
Li1 0.3333 0.6667 0.0742
Al1 0.0000 0.0000 0.2500
Si1 0.3333 0.6667 0.7500
```

---

8.
Diffraction record for Mg14CdBiO16. The X-ray powder pattern is simulated, not measured: it uses a GGA-PBE-relaxed structure and Cu Kα (λ = 1.5418 Å).

Principal peaks in the range 2θ = 10–80°, most intense first:
two_theta  I_rel
41.0  100.0
14.2  88.5
24.6  63.0
35.2  62.2
59.0  61.7
40.5  53.4
20.2  52.5
28.5  45.4
38.1  42.9
32.1  39.5
59.4  29.4
74.3  28.2

Atomic structure:
```
data_Mg14CdBiO16
_cell_length_a 8.807
_cell_length_b 8.807
_cell_length_c 4.459
_cell_angle_alpha 90.00
_cell_angle_beta 90.00
_cell_angle_gamma 90.00
_symmetry_space_group_name_H-M 'P 4/m m m'
_symmetry_Int_Tables_number 123
_symmetry_space_group_name_Hall '-P 4 2'
loop_
_atom_site_label
_atom_site_fract_x
_atom_site_fract_y
_atom_site_fract_z
Mg1 0.000 0.252 0.000
Mg2 0.000 0.500 0.500
Mg3 0.235 0.500 0.000
Mg4 0.242 0.242 0.500
Cd1 0.000 0.000 0.500
Bi1 0.500 0.500 0.500
O1 0.000 0.000 0.000
O2 0.000 0.268 0.500
O3 0.000 0.500 0.000
O4 0.235 0.500 0.500
O5 0.252 0.252 0.000
O6 0.500 0.500 0.000
```

---

9.
Diffraction record for Ba3CdIr2O9. The X-ray powder pattern is simulated, not measured: it uses a GGA-PBE-relaxed structure and Cu Kα (λ = 1.5418 Å).

Principal peaks in the range 2θ = 10–80°, most intense first:
two_theta  I_rel
30.0  100.0
29.9  50.0
18.3  34.1
29.3  27.0
29.8  24.1
53.1  23.5
30.1  20.0
62.4  17.0
35.4  15.4
18.0  15.3
45.9  15.0
35.0  14.9

Atomic structure:
```
data_Ba3CdIr2O9
_cell_length_a 5.987
_cell_length_b 10.298
_cell_length_c 14.785
_cell_angle_alpha 90.00
_cell_angle_beta 91.98
_cell_angle_gamma 90.00
_symmetry_space_group_name_H-M 'C 1 2/c 1'
_symmetry_Int_Tables_number 15
loop_
_symmetry_equiv_pos_as_xyz
'x,y,z'
'-x,-y,-z'
'-x,y,-z+1/2'
'x,-y,z+1/2'
'x+1/2,y+1/2,z'
'-x+1/2,-y+1/2,-z'
'-x+1/2,y+1/2,-z+1/2'
'x+1/2,-y+1/2,z+1/2'
loop_
_atom_site_label
_atom_site_fract_x
_atom_site_fract_y
_atom_site_fract_z
Ba1 0.000 0.002 0.250
Ba2 0.006 0.335 0.586
Cd1 0.000 0.000 0.000
Ir1 0.015 0.333 0.164
O1 0.000 0.488 0.250
O2 0.038 0.174 0.091
O3 0.198 0.406 0.425
O4 0.231 0.257 0.261
O5 0.235 0.090 0.900
```